# 1
Co2PtBr: simulated XRD peak list (λ = 1.5418 Å (Cu Kα)), based on a cell relaxed with GGA-PBE.
No peak broadening, texture or thermal motion is included.

Top 12 peaks for 2θ = 10–90°, sorted by position:
d [Å]	intensity	hkl
6.636	487	0 0 1
3.318	227	0 0 2
2.934	468	0 1 1
2.744	392	1 0 1
2.329	501	0 1 2
2.231	441	1 0 2
2.216	1000	1 1 0
1.843	179	1 1 2
1.832	265	0 1 3
1.783	242	1 0 3
1.566	200	1 1 3
1.139	181	1 1 5

```
data_Co2PtBr
_symmetry_space_group_name_H-M 'P 1'
_symmetry_Int_Tables_number 1
_cell_length_a 3.0135
_cell_length_b 3.2707
_cell_length_c 6.6357
_cell_angle_alpha 90.00
_cell_angle_beta 90.00
_cell_angle_gamma 90.00
loop_
_symmetry_equiv_pos_as_xyz
'x,y,z'
loop_
_atom_site_label
_atom_site_type_symbol
_atom_site_fract_x
_atom_site_fract_y
_atom_site_fract_z
Co1 Co 0.0000 0.0000 0.0000
Co2 Co 0.5000 0.5000 0.1676
Pt1 Pt 0.0000 0.0000 0.3773
Br1 Br 0.5000 0.5000 0.7742
```

# 2
Mn4FeCo3: simulated XRD peak list (λ = 1.5418 Å (Cu Kα)), based on a cell relaxed with GGA-PBE.
No peak broadening, texture or thermal motion is included.

Top 12 peaks for 2θ = 10–90°, sorted by position:
d [Å]	intensity	hkl
2.044	1000	3 1 1
2.039	385	2 0 -2
2.034	79	0 0 2
2.021	515	8 0 0
1.933	828	5 1 -1
1.527	139	6 0 2
1.375	134	0 2 0
1.358	89	10 0 -2
1.195	144	11 1 1
1.140	120	2 2 -2
1.137	135	8 2 0
1.128	118	13 1 -1

```
data_Mn4FeCo3
_symmetry_space_group_name_H-M 'P 1'
_symmetry_Int_Tables_number 1
_cell_length_a 16.3186
_cell_length_b 2.7510
_cell_length_c 4.1050
_cell_angle_alpha 90.00
_cell_angle_beta 97.77
_cell_angle_gamma 90.00
loop_
_symmetry_equiv_pos_as_xyz
'x,y,z'
loop_
_atom_site_label
_atom_site_type_symbol
_atom_site_fract_x
_atom_site_fract_y
_atom_site_fract_z
Mn1 Mn 0.1290 0.0000 0.0648
Mn2 Mn 0.2470 0.0000 0.7335
Mn3 Mn 0.2530 0.5000 0.2665
Mn4 Mn 0.3710 0.5000 0.9352
Mn5 Mn 0.6290 0.5000 0.0648
Mn6 Mn 0.7470 0.5000 0.7335
Mn7 Mn 0.7530 0.0000 0.2665
Mn8 Mn 0.8710 0.0000 0.9352
Fe1 Fe 0.0000 0.0000 0.5000
Fe2 Fe 0.5000 0.5000 0.5000
Co1 Co 0.0000 0.5000 0.0000
Co2 Co 0.1223 0.5000 0.5590
Co3 Co 0.3777 0.0000 0.4410
Co4 Co 0.5000 0.0000 0.0000
Co5 Co 0.6223 0.0000 0.5590
Co6 Co 0.8777 0.5000 0.4410
```